# 1
Diffraction record for Hf3TiPt2C. The powder diffraction line list is computed, not measured: it uses a DFT-relaxed cell (PBE, Alexandria) and Cu Kα (λ = 1.5418 Å).

Largest 10 diffraction maxima, by angle, 2θ = 5–70°:
h k l  Position (°2θ)  I (rel.)
0 1 1  21.16  21
1 1 0  29.70  61
1 1 2  32.53  78
0 0 6  39.66  58
1 1 4  39.97  100
0 2 0  40.90  45
2 0 0  44.04  36
0 2 6  58.29  38
2 0 6  60.75  16
2 2 0  61.66  27

Structural model:
```
data_Hf3TiPt2C
_chemical_formula_sum 'Hf6 Ti2 Pt4 C2'
_cell_length_a 4.1121
_cell_length_b 4.4126
_cell_length_c 13.6351
_cell_angle_alpha 90.00
_cell_angle_beta 90.00
_cell_angle_gamma 90.00
_space_group_name_H-M_alt 'I m m m'
_space_group_IT_number 71
_space_group_name_Hall '-I 2 2'
loop_
_atom_site_label
_atom_site_fract_x
_atom_site_fract_y
_atom_site_fract_z
_atom_site_occupancy
Hf1 0.0000 0.0000 0.0000 1
Hf2 0.0000 0.5000 0.1736 1
Ti1 0.0000 0.0000 0.5000 1
Pt1 0.0000 0.5000 0.3637 1
C1 0.0000 0.5000 0.0000 1
```

# 2
Diffraction record for Rb2ZnCrS4. The powder diffraction line list is computed, not measured: it uses a DFT-relaxed cell (PBE, Alexandria) and Cu Kα (λ = 1.5418 Å).

Largest 10 diffraction maxima, by angle, 2θ = 5–70°:
h k l  Position (°2θ)  I (rel.)
0 0 4  14.83  43
0 2 6  25.91  100
0 4 0  26.16  29
1 3 3  27.49  84
1 3 5  31.38  69
2 2 0  34.10  43
2 0 6  38.85  52
0 6 6  46.00  31
2 4 6  47.44  33
2 6 0  51.44  35

Structural model:
```
data_Rb2ZnCrS4
_chemical_formula_sum 'Rb16 Zn8 Cr8 S32'
_cell_length_a 5.7007
_cell_length_b 13.6279
_cell_length_c 23.8947
_cell_angle_alpha 90.00
_cell_angle_beta 90.00
_cell_angle_gamma 90.00
_space_group_name_H-M_alt 'F d d d'
_space_group_IT_number 70
loop_
_space_group_symop_operation_xyz
'x,y,z'
'-x,-y,-z'
'-x+1/4,-y+1/4,z'
'x+1/4,y+1/4,-z'
'x,-y+1/4,-z+1/4'
'-x,y+1/4,z+1/4'
'-x+1/4,y,-z+1/4'
'x+1/4,-y,z+1/4'
'x,y+1/2,z+1/2'
'-x,-y+1/2,-z+1/2'
'-x+1/4,-y+3/4,z+1/2'
'x+1/4,y+3/4,-z+1/2'
'x,-y+3/4,-z+3/4'
'-x,y+3/4,z+3/4'
'-x+1/4,y+1/2,-z+3/4'
'x+1/4,-y+1/2,z+3/4'
'x+1/2,y,z+1/2'
'-x+1/2,-y,-z+1/2'
'-x+3/4,-y+1/4,z+1/2'
'x+3/4,y+1/4,-z+1/2'
'x+1/2,-y+1/4,-z+3/4'
'-x+1/2,y+1/4,z+3/4'
'-x+3/4,y,-z+3/4'
'x+3/4,-y,z+3/4'
'x+1/2,y+1/2,z'
'-x+1/2,-y+1/2,-z'
'-x+3/4,-y+3/4,z'
'x+3/4,y+3/4,-z'
'x+1/2,-y+3/4,-z+1/4'
'-x+1/2,y+3/4,z+1/4'
'-x+3/4,y+1/2,-z+1/4'
'x+3/4,-y+1/2,z+1/4'
loop_
_atom_site_label
_atom_site_fract_x
_atom_site_fract_y
_atom_site_fract_z
_atom_site_occupancy
Rb1 0.1250 0.1250 0.3031 1
Zn1 0.1250 0.1250 0.1250 1
Cr1 0.1250 0.1250 0.6250 1
S1 0.1057 0.2819 0.8234 1
```